This entry pairs a crystal structure of Al3Co with its computed powder XRD pattern. Radiation: Cu Ka. Structure: the GGA-PBE geometry in Alexandria.
Lines closer than 0.1° are merged.

Crystal structure
```
Al3Co
1.0
6.2552 0.0000 0.0000
0.0000 6.2552 0.0000
0.0000 0.0000 6.2613
Al Co
12 4
direct
0.0000 0.5000 0.0000
0.0000 0.5000 0.5000
0.1539 0.1539 0.2460
0.1539 0.1539 0.7540
0.3461 0.6539 0.2540
0.3461 0.6539 0.7460
0.5000 0.0000 0.0000
0.5000 0.0000 0.5000
0.6539 0.3461 0.2540
0.6539 0.3461 0.7460
0.8461 0.8461 0.2460
0.8461 0.8461 0.7540
0.1499 0.8501 0.0000
0.3501 0.3501 0.5000
0.6499 0.6499 0.5000
0.8501 0.1499 0.0000
```

Principal peaks in the range 2θ from 5° to 70°, by angle:
2θ (°), intensity, h k l
20.07, 61, 1 0 1
24.64, 40, 1 1 1
43.38, 100, 2 1 2
45.87, 59, 3 1 0
59.03, 14, 0 0 4
63.04, 13, 3 3 0

---

This entry pairs a crystal structure of Al5Co with its computed powder XRD pattern. Radiation: Cu Ka. Structure: the GGA-PBE geometry in Alexandria.
Lines closer than 0.1° are merged.

Crystal structure
```
Al5Co
1.0
7.8078 0.0000 0.0000
0.0000 3.7314 0.0000
0.0000 0.0000 6.4741
Al Co
10 2
direct
0.0000 0.0000 0.0000
0.0610 0.5000 0.3089
0.2500 0.0000 0.5769
0.2500 0.5000 0.9272
0.4390 0.5000 0.3089
0.5000 0.0000 0.0000
0.5610 0.5000 0.6911
0.7500 0.0000 0.4231
0.7500 0.5000 0.0728
0.9390 0.5000 0.6911
0.2500 0.0000 0.2041
0.7500 0.0000 0.7959
```

Principal peaks in the range 2θ from 5° to 70°, by angle:
2θ (°), intensity, h k l
17.80, 100, 1 0 1
36.07, 60, 2 1 1
38.58, 77, 1 1 2
43.68, 77, 2 1 2
44.70, 80, 3 1 1
48.79, 63, 0 2 0

---

This entry pairs a crystal structure of Al4Co with its computed powder XRD pattern. Radiation: Cu Ka. Structure: the GGA-PBE geometry in Alexandria.
Lines closer than 0.1° are merged.

Crystal structure
```
Al4Co
1.0
4.0455 0.0000 0.0000
0.0000 8.9706 0.0000
0.0000 0.0000 4.2210
Al Co
8 2
direct
0.0000 0.1425 0.0000
0.0000 0.3526 0.5000
0.0000 0.6474 0.5000
0.0000 0.8575 0.0000
0.5000 0.1474 0.5000
0.5000 0.3575 0.0000
0.5000 0.6425 0.0000
0.5000 0.8526 0.5000
0.0000 0.0000 0.5000
0.5000 0.5000 0.5000
```

Principal peaks in the range 2θ from 5° to 70°, by angle:
2θ (°), intensity, h k l
21.05, 26, 0 0 1
24.13, 39, 1 1 0
29.05, 21, 0 2 1
42.85, 29, 0 0 2
43.30, 100, 1 3 1
44.81, 25, 2 0 0

---

This entry pairs a crystal structure of Al4Co with its computed powder XRD pattern. Radiation: Cu Ka. Structure: the GGA-PBE geometry in Alexandria.
Lines closer than 0.1° are merged.

Crystal structure
```
Al4Co
1.0
6.1267 0.0000 0.0000
0.0000 6.1267 0.0000
0.0000 0.0000 3.7932
Al Co
8 2
direct
0.1051 0.2951 0.0000
0.2049 0.6051 0.5000
0.2951 0.8949 0.0000
0.3949 0.2049 0.5000
0.6051 0.7951 0.5000
0.7049 0.1051 0.0000
0.7951 0.3949 0.5000
0.8949 0.7049 0.0000
0.0000 0.0000 0.5000
0.5000 0.5000 0.0000
```

Principal peaks in the range 2θ from 5° to 70°, by angle:
2θ (°), intensity, h k l
20.50, 15, 1 1 0
27.66, 11, 1 0 1
40.62, 100, 2 1 1
46.90, 32, 1 3 0
47.97, 15, 0 0 2
69.34, 19, 1 3 2

---

This entry pairs a crystal structure of Al6Co5Cu with its computed powder XRD pattern. Radiation: Cu Ka. Structure: the GGA-PBE geometry in Alexandria.
Lines closer than 0.1° are merged.

Crystal structure
```
Al6Co5Cu
1.0
4.0907 0.0000 0.0000
0.0000 5.6807 0.0000
-2.0046 0.0000 6.1498
Al Co Cu
6 5 1
direct
0.0000 0.2442 0.0000
0.0000 0.7558 0.0000
0.3292 0.2471 0.6599
0.3292 0.7529 0.6599
0.6708 0.2471 0.3401
0.6708 0.7529 0.3401
0.1650 0.0000 0.3294
0.1669 0.5000 0.3309
0.5000 0.0000 0.0000
0.8331 0.5000 0.6691
0.8350 0.0000 0.6706
0.5000 0.5000 0.0000
```

Principal peaks in the range 2θ from 5° to 70°, by angle:
2θ (°), intensity, h k l
30.77, 23, 1 0 1
30.98, 23, 1 0 -2
44.18, 51, 0 0 3
44.29, 51, 2 0 -1
44.61, 100, 1 2 1
44.77, 99, 1 2 -2

---

This entry pairs a crystal structure of Al6CoCu3 with its computed powder XRD pattern. Radiation: Cu Ka. Structure: the GGA-PBE geometry in Alexandria.
Lines closer than 0.1° are merged.

Crystal structure
```
Al6CoCu3
1.0
4.1117 0.0000 0.0000
-2.0559 3.5608 0.0000
0.0000 0.0000 9.9467
Al Co Cu
6 1 3
direct
0.0000 0.0000 0.0000
0.0000 0.0000 0.4673
0.3333 0.6667 0.1832
0.3333 0.6667 0.6674
0.6667 0.3333 0.3239
0.6667 0.3333 0.8175
0.3333 0.6667 0.4247
0.3333 0.6667 0.9206
0.6667 0.3333 0.0709
0.6667 0.3333 0.5715
```

Principal peaks in the range 2θ from 5° to 70°, by angle:
2θ (°), intensity, h k l
17.83, 36, 0 0 2
25.01, 41, 1 0 0
30.88, 34, 1 0 2
44.05, 89, 1 1 0
44.44, 100, 1 0 4
64.35, 31, 0 2 4